# 1
Starting from a cell relaxed with PBE, the powder X-ray diffraction pattern of Ce2Ge3Ru5 was computed for λ = 1.5418 Å (Cu Kα).
No peak broadening, texture or thermal motion is included.

Structural model:
Cell lengths 12.7404, 12.7404, 6.4282 Å; angles 90.00, 90.00, 160.88 degrees
Atoms (fractional coordinates):
Ce1 0.0105 0.9895 0.5000
Ce2 0.3261 0.6739 0.4868
Ce3 0.6739 0.3261 0.9868
Ce4 0.9895 0.0105 0.0000
Ge1 0.1112 0.8888 0.7270
Ge2 0.2725 0.7275 0.9786
Ge3 0.4445 0.5555 0.7227
Ge4 0.5555 0.4445 0.2227
Ge5 0.7275 0.2725 0.4786
Ge6 0.8888 0.1112 0.2270
Ru1 0.1042 0.8958 0.1449
Ru2 0.2052 0.7948 0.2669
Ru3 0.2088 0.7912 0.6821
Ru4 0.3699 0.6301 0.9863
Ru5 0.4468 0.5532 0.3259
Ru6 0.5532 0.4468 0.8259
Ru7 0.6301 0.3699 0.4863
Ru8 0.7912 0.2088 0.1821
Ru9 0.7948 0.2052 0.7669
Ru10 0.8958 0.1042 0.6449

Largest 10 diffraction maxima, sorted by position, 10° ≤ 2θ ≤ 90°:
Position (°2θ), d/Å, I_rel
35.22, 2.548, 274
35.65, 2.518, 491
36.72, 2.448, 1000
38.47, 2.340, 203
38.64, 2.330, 404
42.74, 2.116, 443
44.68, 2.028, 120
56.49, 1.629, 125
69.11, 1.359, 184
74.30, 1.277, 124


# 2
Starting from a cell relaxed with PBE, the powder X-ray diffraction pattern of Ce4GeRu4 was computed for λ = 1.5418 Å (Cu Kα).
No peak broadening, texture or thermal motion is included.

Structural model:
Cell lengths 8.7420, 8.7420, 5.1281 Å; angles 90.00, 90.00, 90.00 degrees
Atoms (fractional coordinates):
Ce1 0.0375 0.6826 0.1133
Ce2 0.1826 0.9625 0.6133
Ce3 0.3174 0.5375 0.6133
Ce4 0.4625 0.8174 0.1133
Ce5 0.5375 0.1826 0.8867
Ce6 0.6826 0.4625 0.3867
Ce7 0.8174 0.0375 0.3867
Ce8 0.9625 0.3174 0.8867
Ge1 0.2500 0.2500 0.2500
Ge2 0.7500 0.7500 0.7500
Ru1 0.0028 0.3535 0.3981
Ru2 0.1465 0.0028 0.1019
Ru3 0.3535 0.4972 0.1019
Ru4 0.4972 0.1465 0.3981
Ru5 0.5028 0.8535 0.6019
Ru6 0.6465 0.5028 0.8981
Ru7 0.8535 0.9972 0.8981
Ru8 0.9972 0.6465 0.6019

Largest 10 diffraction maxima, sorted by position, 10° ≤ 2θ ≤ 90°:
Position (°2θ), d/Å, I_rel
28.71, 3.109, 147
28.89, 3.091, 185
32.39, 2.764, 1000
36.52, 2.460, 329
42.15, 2.144, 465
46.45, 1.955, 207
51.90, 1.762, 243
56.30, 1.634, 248
68.40, 1.372, 123
83.04, 1.163, 98